Starting from a crystal structure in Alexandria, relaxed with GGA-PBE, the powder diffractogram of Pm8TcNi3I4 was computed for CuKα.
Kinematic intensities with the Lorentz-polarization factor, no thermal factor.

Main lines, in order of falling intensity (10° ≤ 2θ ≤ 80°):
d/Å, Rel. int.
3.064, 100
2.048, 38
2.308, 25
2.866, 23
1.632, 17
2.702, 12
1.704, 12
2.482, 10

Cell and atoms:
```
data_Pm8TcNi3I4
_chemical_formula_sum 'Pm8 Tc1 Ni3 I4'
_cell_length_a 8.1900
_cell_length_b 8.1900
_cell_length_c 9.3815
_cell_angle_alpha 115.84
_cell_angle_beta 115.84
_cell_angle_gamma 60.09
_space_group_name_H-M_alt 'P 1'
_space_group_IT_number 1
loop_
_space_group_symop_operation_xyz
'x,y,z'
loop_
_atom_site_label
_atom_site_fract_x
_atom_site_fract_y
_atom_site_fract_z
Pm1 0.2274 0.7309 0.6868
Pm2 0.2281 0.2281 0.6872
Pm3 0.2691 0.7726 0.3132
Pm4 0.2741 0.2741 0.3208
Pm5 0.7259 0.7259 0.6792
Pm6 0.7309 0.2274 0.6868
Pm7 0.7719 0.7719 0.3128
Pm8 0.7726 0.2691 0.3132
Tc1 0.0000 0.0000 0.5000
Ni1 0.0000 0.5000 0.5000
Ni2 0.5000 0.0000 0.5000
Ni3 0.5000 0.5000 0.5000
I1 0.0000 0.0000 0.0000
I2 0.0000 0.5000 0.0000
I3 0.5000 0.0000 0.0000
I4 0.5000 0.5000 0.0000
```